Diffraction record for Li2TiV3O8. The PXRD pattern is simulated, not measured: it uses DFT lattice parameters and positions (GGA+U) and CuKα.

Principal peaks in the range 2θ from 10° to 90°, by intensity:
d = 4.888 Å, 18.15°, I = 100.0, hkl 1 1 1
d = 2.135 Å, 42.33°, I = 40.9, hkl 0 0 4
d = 2.569 Å, 34.92°, I = 31.0, hkl 1 3 1
d = 1.490 Å, 62.31°, I = 23.0, hkl 4 4 0
d = 2.080 Å, 43.51°, I = 18.6, hkl 4 0 0
d = 2.520 Å, 35.62°, I = 15.0, hkl 3 1 1
d = 1.642 Å, 56.00°, I = 13.0, hkl 1 1 5
d = 1.510 Å, 61.40°, I = 12.2, hkl 0 4 4

Crystal structure
```
data_Li2TiV3O8
_chemical_formula_sum 'Li8 Ti4 V12 O32'
_symmetry_space_group_name_H-M 'P 21 21 21'
_symmetry_Int_Tables_number 19
_cell_length_a 8.320
_cell_length_b 8.542
_cell_length_c 8.542
_cell_angle_alpha 90.00
_cell_angle_beta 90.00
_cell_angle_gamma 90.00
loop_
_symmetry_equiv_pos_as_xyz
'x,y,z'
'-x+1/2,-y,z+1/2'
'x+1/2,-y+1/2,-z'
'-x,y+1/2,-z+1/2'
loop_
_atom_site_label
_atom_site_fract_x
_atom_site_fract_y
_atom_site_fract_z
Li1 0.002 0.003 0.499
Li2 0.247 0.248 0.753
Ti1 0.131 0.627 0.624
V1 0.119 0.376 0.377
V2 0.122 0.127 0.126
V3 0.122 0.873 0.874
O1 0.105 0.882 0.119
O2 0.108 0.108 0.887
O3 0.120 0.387 0.611
O4 0.122 0.612 0.393
O5 0.134 0.143 0.361
O6 0.135 0.855 0.630
O7 0.136 0.370 0.141
O8 0.141 0.633 0.859
```